KNa3Al4Ge4O16: computed powder diffraction line list (CuKα), based on a structure optimized by DFT (GGA-PBE).
Lines closer than 0.1° are merged.

Structural model:
Lattice parameters (Å, degrees): 10.2834 8.7763 10.3401 90.00 119.51 90.00
Space group P2_1 (No. 4)
One atom of each set of equivalent atoms:
K1 0.0177 0.0000 0.0086 x2
Na1 0.0033 0.0110 0.4513 x2
Na2 0.4160 0.9750 0.0162 x2
Na3 0.4246 0.5153 0.4495 x2
Al1 0.0834 0.8206 0.7635 x2
Al2 0.2364 0.8195 0.3293 x2
Al3 0.3313 0.3540 0.0970 x2
Al4 0.3423 0.2668 0.6682 x2
Ge1 0.0939 0.1919 0.7648 x2
Ge2 0.2481 0.1796 0.3327 x2
Ge3 0.3203 0.6513 0.0876 x2
Ge4 0.3375 0.7589 0.6785 x2
O1 0.0152 0.0091 0.7431 x2
O2 0.0449 0.8325 0.2837 x2
O3 0.0593 0.1846 0.2884 x2
O4 0.1544 0.7960 0.6394 x2
O5 0.1716 0.1966 0.6470 x2
O6 0.2141 0.7987 0.9522 x2
O7 0.2312 0.2207 0.9544 x2
O8 0.2634 0.6778 0.2268 x2
O9 0.2817 0.3267 0.2359 x2
O10 0.2827 0.9987 0.2824 x2
O11 0.3021 0.4674 0.6169 x2
O12 0.3564 0.7816 0.5211 x2
O13 0.3709 0.1969 0.5245 x2
O14 0.3891 0.5655 0.7509 x2
O15 0.4741 0.8570 0.8356 x2
O16 0.4969 0.2376 0.8429 x2

The 6 most intense peaks (2θ from 10° to 90°), by angle:
Position (°2θ)	Rel. int.	index
19.89	64	2 0 0
20.24	73	0 2 0
22.25	100	2 1 0
26.42	53	3 0 -1
28.40	59	0 2 2
28.52	73	2 2 0